Simulated powder diffractogram
Compound: AcTiWO6
Radiation: Cu Ka
Structure: the GGA+U geometry in Alexandria
Lines closer than 0.1° are merged.

Main lines, by intensity (2θ = 5–70°):
(hkl), 2theta, d/Å, intensity
1 1 0, 25.13, 3.544, 1000
1 0 3, 32.42, 2.762, 894
2 1 3, 49.09, 1.856, 668
1 0 1, 19.84, 4.474, 340
2 0 0, 35.84, 2.506, 257
3 0 3, 62.25, 1.491, 185
3 1 0, 58.21, 1.585, 177
2 2 0, 51.58, 1.772, 176
1 1 6, 61.88, 1.500, 162
1 1 2, 31.00, 2.884, 148

Cell and atoms:
abc: 5.012 5.012 9.930
angles: 90.00 90.00 90.00
Sites, in units of the cell vectors:
Ac (0.000, 0.000, 0.000)
Ac (0.500, 0.500, 0.500)
Ti (0.000, 0.000, 0.341)
Ti (0.500, 0.500, 0.841)
W (0.000, 0.000, 0.667)
W (0.500, 0.500, 0.167)
O (0.166, 0.166, 0.500)
O (0.231, 0.231, 0.196)
O (0.232, 0.232, 0.806)
O (0.268, 0.732, 0.306)
O (0.269, 0.731, 0.696)
O (0.334, 0.666, 0.000)
O (0.666, 0.334, 0.000)
O (0.731, 0.269, 0.696)
O (0.732, 0.268, 0.306)
O (0.768, 0.768, 0.806)
O (0.769, 0.769, 0.196)
O (0.834, 0.834, 0.500)